Diffraction record for LiNi2SeO4. The powder diffractogram is theoretical, not measured: it uses a DFT-relaxed cell (PBE+U, Alexandria) and λ = 1.5418 Å (Cu Kα).

Principal peaks in the range 2θ from 10° to 80°, in order of rising 2θ:
2theta  intensity
18.36  73.4
21.26  33.8
34.67  82.1
35.96  100.0
37.21  72.9
43.31  69.2
45.52  59.3
55.81  26.8
57.51  45.7
64.64  39.4

Structural model:
Cell lengths 5.790, 5.790, 6.078 Å; angles 113.23, 113.23, 92.37 degrees
Element x y z (fractional)
Li1 0.000 0.500 0.000
Li2 0.500 0.000 0.500
Ni1 0.000 0.000 0.000
Ni2 0.000 0.000 0.500
Ni3 0.000 0.500 0.500
Ni4 0.500 0.000 0.000
Se1 0.500 0.500 0.000
Se2 0.500 0.500 0.500
O1 0.202 0.216 0.396
O2 0.216 0.202 0.896
O3 0.240 0.718 0.963
O4 0.282 0.760 0.537
O5 0.718 0.240 0.463
O6 0.760 0.282 0.037
O7 0.784 0.798 0.104
O8 0.798 0.784 0.604